The following is a theoretical XRD peak list of Na4Ho3VS8. It was derived from a crystal structure in Alexandria, relaxed with GGA-PBE, using λ = 1.5418 Å (Cu Kα).
Neutral-atom scattering factors, no anomalous dispersion.

Crystal structure
```
data_Na4Ho3VS8
_space_group_name_H-M_alt 'R -3 m'
_space_group_IT_number 166
_space_group_name_Hall '-R 3 2"'
_cell_length_a 7.7407
_cell_length_b 7.7407
_cell_length_c 20.0198
_cell_angle_alpha 90.00
_cell_angle_beta 90.00
_cell_angle_gamma 120.00
loop_
_atom_site_label
_atom_site_type_symbol
_atom_site_fract_x
_atom_site_fract_y
_atom_site_fract_z
Na1 Na 0.0000 0.0000 0.0000
Na2 Na 0.0000 0.5000 0.0000
Ho1 Ho 0.0000 0.5000 0.5000
V1 V 0.0000 0.0000 0.5000
S1 S 0.0000 0.0000 0.2431
S2 S 0.0203 0.5102 0.2393
```

The 6 most intense peaks (2θ = 15–90°), by intensity:
| 2θ (°) | intensity | index |
| --- | --- | --- |
| 32.14 | 100 | 0 2 4 |
| 45.22 | 35 | 2 0 8 |
| 26.97 | 35 | 0 2 1 |
| 46.95 | 33 | 2 2 0 |
| 28.07 | 24 | 2 0 2 |
| 49.01 | 19 | 2 2 3 |